This entry pairs a crystal structure of MnSnPbCl6 with its calculated PXRD pattern. Radiation: λ = 1.5418 Å (Cu Kα). Structure: a structure optimized by DFT (PBE).

a = 6.978 Å, b = 6.978 Å, c = 12.250 Å
α = 90.00°, β = 90.00°, γ = 120.00°
Positions (direct):
Mn1 0.333 0.667 0.250
Mn2 0.667 0.333 0.750
Sn1 0.000 0.000 0.000
Sn2 0.000 0.000 0.500
Pb1 0.333 0.667 0.750
Pb2 0.667 0.333 0.250
Cl1 0.040 0.365 0.129
Cl2 0.040 0.675 0.371
Cl3 0.325 0.365 0.371
Cl4 0.325 0.960 0.129
Cl5 0.365 0.040 0.629
Cl6 0.365 0.325 0.871
Cl7 0.635 0.675 0.129
Cl8 0.635 0.960 0.371
Cl9 0.675 0.040 0.871
Cl10 0.675 0.635 0.629
Cl11 0.960 0.325 0.629
Cl12 0.960 0.635 0.871

Largest 10 diffraction maxima, in order of falling intensity, 2θ = 10–80°:
2θ = 20.6°, intensity 100, hkl 1 0 2; 2θ = 39.1°, intensity 72, hkl 1 1 4; 2θ = 25.5°, intensity 36, hkl 1 1 0; 2θ = 29.5°, intensity 34, hkl 1 1 2; 2θ = 42.2°, intensity 32, hkl 2 1 2; 2θ = 45.0°, intensity 32, hkl 3 0 0; 2θ = 33.1°, intensity 31, hkl 2 0 2; 2θ = 16.4°, intensity 27, hkl 1 0 1; 2θ = 61.1°, intensity 20, hkl 4 -2 4; 2θ = 26.3°, intensity 19, hkl 1 0 3